# MgWO4
Theoretical powder X-ray diffraction pattern, Cu Kα. Input: a cell relaxed with PBE+U.

Main lines, in order of falling intensity (10° ≤ 2θ ≤ 90°):
2θ 18.71, d = 4.741 Å, I = 100, hkl 1 0 0
2θ 23.47, d = 3.791 Å, I = 96, hkl 0 1 1
2θ 29.95, d = 2.984 Å, I = 82, hkl 1 1 -1
2θ 30.42, d = 2.939 Å, I = 79, hkl 1 1 1
2θ 24.33, d = 3.658 Å, I = 45, hkl 1 1 0
2θ 53.59, d = 1.710 Å, I = 33, hkl 2 0 2
2θ 41.02, d = 2.200 Å, I = 33, hkl 1 2 1
2θ 15.41, d = 5.749 Å, I = 30, hkl 0 1 0

Structure:
Unit cell a=4.7425 b=5.7487 c=5.0440 alpha=90.00 beta=91.19 gamma=90.00
Space group P2/c (No. 13)
Symmetry-distinct sites (fractional):
Mg (0.0000, 0.1654, 0.2500)
W (0.5000, 0.3248, 0.7500)
O (0.2407, 0.1244, 0.6004)
O (0.2839, 0.3908, 0.0668)